[1]
Structure and simulated X-ray powder pattern of SiBi2Se4 (a cell relaxed with PBE; Cu Kα).
No peak broadening, texture or thermal motion is included.

Structure:
a b c (Å): 7.8915 7.8915 6.6188
angles (deg): 90.00 90.00 90.00
Space group I-42m (No. 121)
Asymmetric unit:
Si  0.0000  0.0000  0.0000
Bi  0.0000  0.5000  0.2500
Se  0.1640  0.1640  0.7881

Top 10 peaks for 10 to 90 degrees two-theta, in order of falling intensity:
2θ/deg  I (rel.)  hkl
45.5  100.0  3 1 2
15.9  85.2  1 1 0
36.0  83.9  3 1 0
26.9  65.7  0 0 2
31.4  58.2  1 1 2
28.7  56.5  2 1 1
32.1  49.6  2 2 0
42.4  38.2  2 2 2
22.5  37.7  2 0 0
59.4  30.0  4 2 2



[2]
Structure and simulated X-ray powder pattern of Sm4SnBiSe2 (a cell relaxed with PBE; Cu Kα).
No peak broadening, texture or thermal motion is included.

Structure:
a b c (Å): 7.5204 4.3670 7.5681
angles (deg): 90.00 109.53 90.00
Space group P2/m (No. 10)
Asymmetric unit:
Sm  0.2382  0.0000  0.2405
Sm  0.2409  0.5000  0.7517
Sn  0.5000  0.0000  0.0000
Bi  0.5000  0.5000  0.5000
Se  0.0000  0.0000  0.5000
Se  0.0000  0.5000  0.0000

Top 10 peaks for 10 to 90 degrees two-theta, in order of falling intensity:
2θ/deg  I (rel.)  hkl
29.0  100.0  1 1 1
41.3  38.6  0 2 0
41.5  37.5  3 1 -1
51.3  20.6  2 2 -2
67.9  17.8  1 3 1
68.1  17.1  4 2 0
60.0  12.7  2 2 2
75.4  11.0  1 3 -3
75.5  8.7  3 3 -1
51.6  6.5  4 0 0



[3]
Structure and simulated X-ray powder pattern of Sm8BiTe4Se3 (a cell relaxed with PBE; Cu Kα).
No peak broadening, texture or thermal motion is included.

Structure:
a b c (Å): 8.6948 8.6948 21.5742
angles (deg): 90.00 90.00 120.00
Space group R-3m (No. 166, hexagonal axes)
Asymmetric unit:
Sm  0.0000  0.0000  0.2391
Sm  0.0169  0.5085  0.7578
Bi  0.0000  0.0000  0.5000
Te  0.0000  0.0000  0.0000
Te  0.0000  0.5000  0.0000
Se  0.0000  0.5000  0.5000

Top 10 peaks for 10 to 90 degrees two-theta, in order of falling intensity:
2θ/deg  I (rel.)  hkl
28.9  100.0  0 2 4
41.5  37.8  2 2 0
41.2  35.6  2 0 8
51.4  19.7  4 0 4
68.2  16.3  2 4 4
67.6  14.0  2 2 12
59.9  11.4  0 4 8
75.5  11.3  4 2 8
75.8  6.1  6 0 0
50.8  5.7  0 0 12



[4]
Structure and simulated X-ray powder pattern of Sm6Bi3TeSe2 (a cell relaxed with PBE; Cu Kα).
No peak broadening, texture or thermal motion is included.

Structure:
a b c (Å): 19.2677 4.4150 8.8272
angles (deg): 90.00 103.22 90.00
Space group C2/m (No. 12)
Asymmetric unit:
Sm  0.0088  0.0000  0.2558
Sm  0.1710  0.5000  0.0992
Sm  0.1726  0.5000  0.5729
Bi  0.0000  0.5000  0.5000
Bi  0.1619  0.0000  0.8313
Te  0.0000  0.5000  0.0000
Se  0.1682  0.0000  0.3336

Top 10 peaks for 10 to 90 degrees two-theta, in order of falling intensity:
2θ/deg  I (rel.)  hkl
28.6  100.0  1 1 -2
40.9  75.6  0 2 0
67.0  27.8  1 3 -2
50.6  26.7  6 2 0
74.4  20.4  5 3 2
59.2  8.5  2 2 -4
88.6  6.5  0 4 0
31.2  6.4  5 1 -1
23.6  6.2  4 0 1
67.1  5.6  3 1 -6